Record 1
Starting from a DFT-relaxed cell (GGA-PBE, Alexandria), the powder diffractogram of Tb3Ga2BRu3 was simulated for a wavelength of 1.5418 Å.
Lines closer than 0.1° are merged.

Top 10 peaks for 2θ from 15° to 90°, in order of falling intensity:
2θ = 35.6°, I = 100, (1 1 1)
2θ = 37.9°, I = 32, (2 1 0)
2θ = 43.2°, I = 25, (3 0 0)
2θ = 24.5°, I = 21, (1 1 0)
2θ = 74.2°, I = 18, (4 1 1)
2θ = 38.5°, I = 17, (2 0 1)
2θ = 46.2°, I = 13, (2 1 1)
2θ = 66.3°, I = 12, (2 1 2)
2θ = 52.3°, I = 12, (0 0 2)
2θ = 70.0°, I = 12, (3 0 2)

Crystal structure
```
data_Tb3Ga2BRu3
_cell_length_a 7.260
_cell_length_b 7.260
_cell_length_c 3.501
_cell_angle_alpha 90.00
_cell_angle_beta 90.00
_cell_angle_gamma 120.00
_space_group_name_H-M_alt 'P 1'
_space_group_IT_number 1
_space_group_name_Hall 'P 1'
loop_
_atom_site_label
_atom_site_fract_x
_atom_site_fract_y
_atom_site_fract_z
Tb1 0.000 0.636 0.000
Tb2 0.364 0.364 0.000
Tb3 0.636 0.000 0.000
Ga1 0.333 0.667 0.500
Ga2 0.667 0.333 0.500
B1 0.000 0.000 0.000
Ru1 0.000 0.226 0.500
Ru2 0.226 0.000 0.500
Ru3 0.774 0.774 0.500
```


Record 2
Starting from a DFT-relaxed cell (GGA-PBE, Alexandria), the powder diffractogram of Ta4Ga2B was simulated for a wavelength of 1.5418 Å.
Lines closer than 0.1° are merged.

Top 10 peaks for 2θ from 15° to 90°, in order of falling intensity:
2θ = 39.0°, I = 100, (2 1 1)
2θ = 37.9°, I = 95, (1 4 0)
2θ = 36.0°, I = 66, (1 2 1)
2θ = 36.3°, I = 57, (2 3 0)
2θ = 33.8°, I = 52, (0 2 1)
2θ = 72.5°, I = 29, (1 4 2)
2θ = 67.4°, I = 27, (3 5 1)
2θ = 41.4°, I = 25, (1 3 1)
2θ = 59.2°, I = 23, (0 0 2)
2θ = 41.0°, I = 18, (3 2 0)

Crystal structure
```
data_Ta4Ga2B
_cell_length_a 7.336
_cell_length_b 10.049
_cell_length_c 3.119
_cell_angle_alpha 90.00
_cell_angle_beta 90.00
_cell_angle_gamma 90.00
_space_group_name_H-M_alt 'P 1'
_space_group_IT_number 1
_space_group_name_Hall 'P 1'
loop_
_atom_site_label
_atom_site_fract_x
_atom_site_fract_y
_atom_site_fract_z
Ta1 0.139 0.197 0.000
Ta2 0.184 0.919 0.500
Ta3 0.316 0.419 0.500
Ta4 0.361 0.697 0.000
Ta5 0.639 0.303 0.000
Ta6 0.684 0.581 0.500
Ta7 0.816 0.081 0.500
Ta8 0.861 0.803 0.000
Ga1 0.062 0.628 0.500
Ga2 0.438 0.128 0.500
Ga3 0.562 0.872 0.500
Ga4 0.938 0.372 0.500
B1 0.000 0.000 0.000
B2 0.500 0.500 0.000
```


Record 3
Starting from a DFT-relaxed cell (GGA-PBE, Alexandria), the powder diffractogram of TmGa2Tc2B was simulated for a wavelength of 1.5418 Å.
Lines closer than 0.1° are merged.

Top 10 peaks for 2θ from 15° to 90°, in order of falling intensity:
2θ = 34.3°, I = 100, (1 1 1)
2θ = 42.8°, I = 50, (2 0 0)
2θ = 39.5°, I = 46, (1 0 2)
2θ = 59.7°, I = 27, (2 1 2)
2θ = 26.8°, I = 24, (1 0 1)
2θ = 73.0°, I = 22, (3 1 1)
2θ = 62.2°, I = 16, (2 2 0)
2θ = 85.1°, I = 12, (2 0 4)
2θ = 59.8°, I = 12, (1 1 3)
2θ = 33.1°, I = 11, (0 0 2)

Crystal structure
```
data_TmGa2Tc2B
_cell_length_a 4.222
_cell_length_b 4.222
_cell_length_c 5.418
_cell_angle_alpha 90.00
_cell_angle_beta 90.00
_cell_angle_gamma 90.00
_space_group_name_H-M_alt 'P 1'
_space_group_IT_number 1
_space_group_name_Hall 'P 1'
loop_
_atom_site_label
_atom_site_fract_x
_atom_site_fract_y
_atom_site_fract_z
Tm1 0.000 0.000 0.000
Ga1 0.500 0.500 0.225
Ga2 0.500 0.500 0.775
Tc1 0.000 0.500 0.500
Tc2 0.500 0.000 0.500
B1 0.000 0.000 0.500
```


Record 4
Starting from a DFT-relaxed cell (GGA-PBE, Alexandria), the powder diffractogram of YGa2Tc2B was simulated for a wavelength of 1.5418 Å.
Lines closer than 0.1° are merged.

Top 10 peaks for 2θ from 15° to 90°, in order of falling intensity:
2θ = 34.2°, I = 100, (1 1 1)
2θ = 42.8°, I = 57, (2 0 0)
2θ = 39.2°, I = 42, (1 0 2)
2θ = 59.4°, I = 34, (2 1 2)
2θ = 44.9°, I = 29, (1 1 2)
2θ = 72.8°, I = 21, (3 1 1)
2θ = 62.1°, I = 18, (2 2 0)
2θ = 16.2°, I = 17, (0 0 1)
2θ = 84.3°, I = 13, (2 0 4)
2θ = 54.8°, I = 12, (2 0 2)

Crystal structure
```
data_YGa2Tc2B
_cell_length_a 4.230
_cell_length_b 4.230
_cell_length_c 5.473
_cell_angle_alpha 90.00
_cell_angle_beta 90.00
_cell_angle_gamma 90.00
_space_group_name_H-M_alt 'P 1'
_space_group_IT_number 1
_space_group_name_Hall 'P 1'
loop_
_atom_site_label
_atom_site_fract_x
_atom_site_fract_y
_atom_site_fract_z
Y1 0.000 0.000 0.000
Ga1 0.500 0.500 0.226
Ga2 0.500 0.500 0.774
Tc1 0.000 0.500 0.500
Tc2 0.500 0.000 0.500
B1 0.000 0.000 0.500
```